Simulated XRD peak list
Compound: La7Sm5
Radiation: Cu Kα
Structure: the GGA-PBE geometry in Alexandria
Lines closer than 0.1° are merged.

Cell and atoms:
Lattice parameters (Å, degrees): 9.899 5.983 15.042 90.00 104.18 90.00
Space group C2/m (No. 12)
Asymmetric unit:
La1 0.000 0.000 0.000
La2 0.040 0.500 0.713
La3 0.183 0.000 0.585
La4 0.240 0.500 0.172
Sm1 0.000 0.500 0.500
Sm2 0.120 0.000 0.299
Sm3 0.135 0.500 0.939

Principal peaks in the range 15° ≤ 2θ ≤ 90°, in order of rising 2θ:
(1 1 -4), 2θ 28.22, rel. 29; (2 0 3), 2θ 29.18, rel. 21; (0 2 0), 2θ 29.87, rel. 62; (3 1 -1), 2θ 30.96, rel. 100; (2 0 -5), 2θ 31.75, rel. 23; (1 1 4), 2θ 32.02, rel. 42; (1 1 -5), 2θ 33.39, rel. 21; (2 2 3), 2θ 42.24, rel. 15; (2 2 -5), 2θ 44.16, rel. 15; (4 0 3), 2θ 46.15, rel. 17; (3 3 -1), 2θ 53.71, rel. 21; (4 2 3), 2θ 55.95, rel. 16

---

Simulated XRD peak list
Compound: Sc3AgPd5
Radiation: Cu Kα
Structure: the GGA-PBE geometry in Alexandria
Lines closer than 0.1° are merged.

Cell and atoms:
Lattice parameters (Å, degrees): 8.0388 8.0388 5.5680 90.00 90.00 120.00
Space group P6_3/mcm (No. 193)
Asymmetric unit:
Sc1 0.0000 0.3553 0.2500
Ag1 0.0000 0.0000 0.0000
Pd1 0.0000 0.3184 0.7500
Pd2 0.3333 0.6667 0.0000

Principal peaks in the range 15° ≤ 2θ ≤ 90°, in order of rising 2θ:
(1 1 0), 2θ 22.12, rel. 7; (1 1 1), 2θ 27.37, rel. 23; (3 0 0), 2θ 38.81, rel. 100; (1 1 2), 2θ 39.37, rel. 100; (2 2 1), 2θ 48.14, rel. 5; (2 2 2), 2θ 56.47, rel. 33; (4 1 1), 2θ 63.47, rel. 4; (0 0 4), 2θ 67.26, rel. 6; (3 3 0), 2θ 70.26, rel. 15; (4 1 2), 2θ 70.63, rel. 32; (3 0 4), 2θ 80.45, rel. 22; (6 0 0), 2θ 83.27, rel. 9

---

Simulated XRD peak list
Compound: KBaCa
Radiation: Cu Kα
Structure: the GGA-PBE geometry in Alexandria
Lines closer than 0.1° are merged.

Cell and atoms:
Lattice parameters (Å, degrees): 4.266 6.643 12.610 89.98 83.06 89.94
Space group P-1 (No. 2)
Asymmetric unit:
K1 0.186 0.250 0.087
Ba1 0.426 0.250 0.706
Ca1 0.022 0.250 0.421

Principal peaks in the range 15° ≤ 2θ ≤ 90°, in order of rising 2θ:
(0 1 1), 2θ 15.10, rel. 42; (0 1 2), 2θ 19.49, rel. 17; (1 1 0), 2θ 24.94, rel. 21; (0 1 3), 2θ 25.22, rel. 100; (1 1 -1), 2θ 26.65, rel. 28; (0 2 0), 2θ 26.83, rel. 66; (1 1 2), 2θ 27.47, rel. 19; (1 0 3), 2θ 28.15, rel. 22; (1 2 -2), 2θ 38.30, rel. 22; (1 2 3), 2θ 39.29, rel. 17; (0 3 -3), 2θ 46.41, rel. 25; (2 2 1), 2θ 50.94, rel. 21

---

Simulated XRD peak list
Compound: CrNi2Pd8
Radiation: Cu Kα
Structure: the GGA-PBE geometry in Alexandria
Lines closer than 0.1° are merged.

Cell and atoms:
Lattice parameters (Å, degrees): 9.720 8.684 4.446 90.00 105.05 90.00
Space group C2/m (No. 12)
Asymmetric unit:
Cr1 0.000 0.000 0.000
Ni1 0.129 0.000 0.534
Pd1 0.086 0.500 0.298
Pd2 0.089 0.245 0.800
Pd3 0.243 0.500 0.886

Principal peaks in the range 15° ≤ 2θ ≤ 90°, in order of rising 2θ:
(2 0 -1), 2θ 24.19, rel. 24; (2 2 0), 2θ 28.00, rel. 22; (2 2 -1), 2θ 31.88, rel. 26; (2 2 1), 2θ 38.01, rel. 77; (3 1 1), 2θ 41.20, rel. 37; (2 0 -2), 2θ 41.46, rel. 17; (0 4 0), 2θ 41.60, rel. 66; (1 1 -2), 2θ 41.97, rel. 41; (4 2 -1), 2θ 44.12, rel. 100; (3 3 1), 2θ 51.22, rel. 16; (1 3 -2), 2θ 51.87, rel. 25; (4 6 -1), 2θ 77.67, rel. 18

---

Simulated XRD peak list
Compound: TbNd4Er8
Radiation: Cu Kα
Structure: the GGA-PBE geometry in Alexandria
Lines closer than 0.1° are merged.

Cell and atoms:
Lattice parameters (Å, degrees): 11.0063 11.0063 13.4573 90.00 90.00 120.00
Space group R-3m (No. 166, hexagonal axes)
Asymmetric unit:
Tb1 0.0000 0.0000 0.0000
Nd1 0.0000 0.0000 0.5000
Nd2 0.0000 0.5000 0.5000
Er1 0.0000 0.0000 0.2598
Er2 0.0127 0.5064 0.2465

Principal peaks in the range 15° ≤ 2θ ≤ 90°, in order of rising 2θ:
(0 1 2), 2θ 16.11, rel. 4; (0 0 3), 2θ 19.77, rel. 10; (2 0 2), 2θ 22.87, rel. 10; (1 1 3), 2θ 25.61, rel. 5; (2 2 0), 2θ 32.56, rel. 100; (2 2 3), 2θ 38.38, rel. 5; (4 0 4), 2θ 46.71, rel. 18; (4 2 2), 2θ 52.62, rel. 4; (6 0 0), 2θ 58.10, rel. 37; (4 4 0), 2θ 68.20, rel. 11; (6 2 4), 2θ 77.63, rel. 15; (0 8 4), 2θ 86.69, rel. 3